Computed powder XRD pattern of CeCdSn2 for Cu Kα, 1.54184 Å, from DFT lattice parameters and positions (GGA-PBE).
Neutral-atom scattering factors, no anomalous dispersion.

Crystal structure
a = 3.892 Å, b = 3.892 Å, c = 7.018 Å
α = 90.00°, β = 90.00°, γ = 90.00°
Space group P4/mmm (No. 123)
Asymmetric unit:
Ce1 0.000 0.000 0.000 x1
Cd1 0.000 0.000 0.500 x1
Sn1 0.500 0.500 0.280 x2

Largest 6 diffraction maxima, by intensity, 2θ = 10–90°:
| Position (°2θ) | Rel. int. |
| --- | --- |
| 34.4 | 100.0 |
| 32.5 | 62.4 |
| 59.3 | 41.9 |
| 46.7 | 22.9 |
| 62.8 | 14.0 |
| 77.6 | 10.5 |